For Mg2B24C, the PBE geometry in the Materials Project gives the simulated PXRD pattern in this record (Cu Kα (weighted mean of Kα1 and Kα2)).
Peak positions follow from Bragg's law for the DFT cell and can differ from measured ones.

Structural model:
Cell lengths 8.9659, 8.9659, 5.0891 Å; angles 90.00, 90.00, 90.00 degrees
Sites, in units of the cell vectors:
Mg (0.0000, 0.0000, 0.0000)
Mg (0.0000, 0.5000, 0.7500)
Mg (0.5000, 0.0000, 0.2500)
Mg (0.5000, 0.5000, 0.5000)
B (0.0777, 0.2410, 0.0847)
B (0.0795, 0.3253, 0.4014)
B (0.0928, 0.7691, 0.9125)
B (0.0984, 0.6941, 0.5829)
B (0.1158, 0.1283, 0.3757)
B (0.1283, 0.8842, 0.6243)
B (0.1747, 0.4205, 0.0986)
B (0.1941, 0.5984, 0.9171)
B (0.2309, 0.0928, 0.0875)
B (0.2352, 0.2515, 0.5849)
B (0.2410, 0.9223, 0.9153)
B (0.2485, 0.2648, 0.9151)
B (0.2515, 0.7648, 0.4151)
B (0.2590, 0.4223, 0.4153)
B (0.2648, 0.7515, 0.0849)
B (0.2691, 0.5928, 0.5875)
B (0.3059, 0.0984, 0.4171)
B (0.3253, 0.9205, 0.5986)
B (0.3717, 0.3842, 0.1243)
B (0.3842, 0.6283, 0.8757)
B (0.4016, 0.1941, 0.0829)
B (0.4072, 0.2691, 0.4125)
B (0.4205, 0.8253, 0.9014)
B (0.4223, 0.7410, 0.5847)
B (0.5777, 0.2590, 0.5847)
B (0.5795, 0.1747, 0.9014)
B (0.5928, 0.7309, 0.4125)
B (0.5984, 0.8059, 0.0829)
B (0.6158, 0.3717, 0.8757)
B (0.6283, 0.6158, 0.1243)
B (0.6747, 0.0795, 0.5986)
B (0.6941, 0.9016, 0.4171)
B (0.7309, 0.4072, 0.5875)
B (0.7352, 0.2485, 0.0849)
B (0.7410, 0.5777, 0.4153)
B (0.7485, 0.2352, 0.4151)
B (0.7515, 0.7352, 0.9151)
B (0.7590, 0.0777, 0.9153)
B (0.7648, 0.7485, 0.5849)
B (0.7691, 0.9072, 0.0875)
B (0.8059, 0.4016, 0.9171)
B (0.8253, 0.5795, 0.0986)
B (0.8717, 0.1158, 0.6243)
B (0.8842, 0.8717, 0.3757)
B (0.9016, 0.3059, 0.5829)
B (0.9072, 0.2309, 0.9125)
B (0.9205, 0.6747, 0.4014)
B (0.9223, 0.7590, 0.0847)
C (0.0000, 0.0000, 0.5000)
C (0.5000, 0.5000, 0.0000)

Largest 10 diffraction maxima, sorted by position, 2θ = 10–90°:
2θ (°)  intensity
20.1  56
22.4  88
28.2  43
28.3  67
36.3  100
38.1  59
45.2  57
45.4  65
48.0  86
65.9  61


For Mg6BC, the PBE geometry in the Materials Project gives the simulated PXRD pattern in this record (Cu Kα (weighted mean of Kα1 and Kα2)).
Peak positions follow from Bragg's law for the DFT cell and can differ from measured ones.

Structural model:
Cell lengths 3.3968, 6.4463, 6.4463 Å; angles 73.48, 90.00, 90.00 degrees
Sites, in units of the cell vectors:
Mg (0.0000, 0.0000, 0.0000)
Mg (0.0000, 0.0563, 0.4148)
Mg (0.0000, 0.4148, 0.0563)
Mg (0.5000, 0.3155, 0.6890)
Mg (0.5000, 0.6890, 0.3155)
Mg (0.5000, 0.7569, 0.7569)
B (0.0000, 0.5953, 0.5953)
C (0.5000, 0.1487, 0.1487)

Largest 10 diffraction maxima, sorted by position, 2θ = 10–90°:
2θ (°)  intensity
17.2  13
30.0  31
34.7  43
36.0  41
39.0  41
39.4  100
44.0  26
53.2  16
54.0  18
65.4  14


For Mg14BC, the PBE geometry in the Materials Project gives the simulated PXRD pattern in this record (Cu Kα (weighted mean of Kα1 and Kα2)).
Peak positions follow from Bragg's law for the DFT cell and can differ from measured ones.

Structural model:
Cell lengths 9.4771, 6.2989, 6.2989 Å; angles 63.25, 90.00, 90.00 degrees
Sites, in units of the cell vectors:
Mg (0.0000, 0.0000, 0.0000)
Mg (0.0000, 0.4914, 0.9846)
Mg (0.0000, 0.4988, 0.4988)
Mg (0.0000, 0.9846, 0.4914)
Mg (0.2471, 0.3173, 0.3173)
Mg (0.2577, 0.8222, 0.8222)
Mg (0.3450, 0.3172, 0.7976)
Mg (0.3450, 0.7976, 0.3172)
Mg (0.5000, 0.0739, 0.5508)
Mg (0.5000, 0.5508, 0.0739)
Mg (0.6550, 0.3172, 0.7976)
Mg (0.6550, 0.7976, 0.3172)
Mg (0.7423, 0.8222, 0.8222)
Mg (0.7529, 0.3173, 0.3173)
B (0.5000, 0.9625, 0.9625)
C (0.5000, 0.4619, 0.4619)

Largest 10 diffraction maxima, sorted by position, 2θ = 10–90°:
2θ (°)  intensity
31.8  17
32.9  20
33.2  16
33.4  27
34.8  15
37.2  100
38.6  17
41.7  22
44.6  14
66.4  18